(1)
Simulated X-ray diffraction stick pattern
Compound: AgBO3
Radiation: Cu Ka
Structure: a cell relaxed with GGA-PBE
No peak broadening, texture or thermal motion is included.

Atomic structure:
```
AgBO3
1.0
2.4485 1.4137 5.2935
-2.4485 1.4137 5.2935
0.0000 -2.8273 5.2935
Ag B O
2 2 6
direct
0.0000 0.0000 0.0000 Ag
0.5000 0.5000 0.5000 Ag
0.2500 0.2500 0.2500 B
0.7500 0.7500 0.7500 B
0.0324 0.7500 0.4676 O
0.2500 0.5324 0.9676 O
0.4676 0.0324 0.7500 O
0.5324 0.9676 0.2500 O
0.7500 0.4676 0.0324 O
0.9676 0.2500 0.5324 O
```

The 12 most intense peaks (2θ from 10° to 80°), in order of falling intensity:
2θ = 30.85°, I = 100; 2θ = 23.79°, I = 96; 2θ = 50.79°, I = 65; 2θ = 36.70°, I = 35; 2θ = 44.21°, I = 29; 2θ = 62.47°, I = 24; 2θ = 58.77°, I = 22; 2θ = 48.68°, I = 18; 2θ = 76.37°, I = 15; 2θ = 66.10°, I = 13; 2θ = 40.60°, I = 8; 2θ = 64.28°, I = 8



(2)
Simulated X-ray diffraction stick pattern
Compound: Ag3BO3
Radiation: Cu Ka
Structure: a cell relaxed with GGA-PBE
No peak broadening, texture or thermal motion is included.

Atomic structure:
```
Ag3BO3
1.0
5.0703 2.9273 1.1138
-5.0703 2.9273 1.1138
0.0000 -5.8547 1.1138
Ag B O
3 1 3
direct
0.0000 0.5094 0.4906 Ag
0.4906 0.0000 0.5094 Ag
0.5094 0.4906 0.0000 Ag
0.0000 0.0000 0.0000 B
0.0000 0.1365 0.8635 O
0.1365 0.8635 0.0000 O
0.8635 0.0000 0.1365 O
```

The 12 most intense peaks (2θ from 10° to 80°), in order of falling intensity:
2θ = 33.71°, I = 100; 2θ = 35.41°, I = 71; 2θ = 17.49°, I = 27; 2θ = 49.69°, I = 27; 2θ = 62.48°, I = 26; 2θ = 59.17°, I = 18; 2θ = 38.22°, I = 16; 2θ = 63.57°, I = 15; 2θ = 30.54°, I = 13; 2θ = 47.44°, I = 11; 2θ = 46.12°, I = 10; 2θ = 70.88°, I = 9



(3)
Simulated X-ray diffraction stick pattern
Compound: BaAg5
Radiation: Cu Ka
Structure: a cell relaxed with GGA-PBE
No peak broadening, texture or thermal motion is included.

Atomic structure:
```
BaAg5
1.0
5.9896 0.0000 0.0000
-2.9948 5.1871 0.0000
0.0000 0.0000 4.5838
Ba Ag
1 5
direct
0.0000 0.0000 0.0000 Ba
0.0000 0.5000 0.5000 Ag
0.3333 0.6667 0.0000 Ag
0.5000 0.0000 0.5000 Ag
0.5000 0.5000 0.5000 Ag
0.6667 0.3333 0.0000 Ag
```

The 12 most intense peaks (2θ from 10° to 80°), in order of falling intensity:
2θ = 35.82°, I = 100; 2θ = 39.94°, I = 34; 2θ = 34.58°, I = 32; 2θ = 39.31°, I = 28; 2θ = 56.92°, I = 25; 2θ = 75.90°, I = 23; 2θ = 29.83°, I = 22; 2θ = 61.97°, I = 21; 2θ = 25.94°, I = 18; 2θ = 53.34°, I = 18; 2θ = 69.00°, I = 14; 2θ = 17.09°, I = 13



(4)
Simulated X-ray diffraction stick pattern
Compound: Ba3Ag2
Radiation: Cu Ka
Structure: a cell relaxed with GGA-PBE
No peak broadening, texture or thermal motion is included.

Atomic structure:
```
Ba3Ag2
1.0
5.2997 3.0598 6.5188
-5.2997 3.0598 6.5188
0.0000 -6.1196 6.5188
Ba Ag
9 6
direct
0.0000 0.0000 0.0000 Ba
0.1653 0.3855 0.6675 Ba
0.2062 0.2062 0.2062 Ba
0.3325 0.8347 0.6145 Ba
0.3855 0.6675 0.1653 Ba
0.6145 0.3325 0.8347 Ba
0.6675 0.1653 0.3855 Ba
0.7938 0.7938 0.7938 Ba
0.8347 0.6145 0.3325 Ba
0.0370 0.8656 0.4098 Ag
0.1344 0.5902 0.9630 Ag
0.4098 0.0370 0.8656 Ag
0.5902 0.9630 0.1344 Ag
0.8656 0.4098 0.0370 Ag
0.9630 0.1344 0.5902 Ag
```

The 12 most intense peaks (2θ from 10° to 80°), in order of falling intensity:
2θ = 27.29°, I = 100; 2θ = 31.62°, I = 52; 2θ = 32.25°, I = 50; 2θ = 26.08°, I = 44; 2θ = 29.19°, I = 38; 2θ = 42.36°, I = 24; 2θ = 26.64°, I = 21; 2θ = 24.74°, I = 20; 2θ = 10.65°, I = 18; 2θ = 44.00°, I = 17; 2θ = 35.56°, I = 16; 2θ = 59.59°, I = 15



(5)
Simulated X-ray diffraction stick pattern
Compound: BaAgBi
Radiation: Cu Ka
Structure: a cell relaxed with GGA-PBE
No peak broadening, texture or thermal motion is included.

Atomic structure:
```
BaAgBi
1.0
5.0380 0.0000 0.0000
-2.5190 4.3630 0.0000
0.0000 0.0000 9.4751
Ba Ag Bi
2 2 2
direct
0.0000 0.0000 0.0000 Ba
0.0000 0.0000 0.5000 Ba
0.3333 0.6667 0.2500 Ag
0.6667 0.3333 0.7500 Ag
0.3333 0.6667 0.7500 Bi
0.6667 0.3333 0.2500 Bi
```

The 12 most intense peaks (2θ from 10° to 80°), in order of falling intensity:
2θ = 27.80°, I = 100; 2θ = 35.64°, I = 62; 2θ = 53.07°, I = 40; 2θ = 45.79°, I = 26; 2θ = 59.34°, I = 24; 2θ = 37.99°, I = 17; 2θ = 18.73°, I = 17; 2θ = 40.56°, I = 15; 2θ = 76.93°, I = 14; 2θ = 22.43°, I = 12; 2θ = 64.02°, I = 11; 2θ = 62.55°, I = 10



(6)
Simulated X-ray diffraction stick pattern
Compound: BaAgBi
Radiation: Cu Ka
Structure: a cell relaxed with GGA-PBE
No peak broadening, texture or thermal motion is included.

Atomic structure:
```
BaAgBi
1.0
5.8330 0.0000 0.0000
-2.9165 5.0515 0.0000
0.0000 0.0000 7.0408
Ba Ag Bi
2 2 2
direct
0.3333 0.6667 0.2500 Ba
0.6667 0.3333 0.7500 Ba
0.0000 0.0000 0.0000 Ag
0.0000 0.0000 0.5000 Ag
0.3333 0.6667 0.7500 Bi
0.6667 0.3333 0.2500 Bi
```

The 12 most intense peaks (2θ from 10° to 80°), in order of falling intensity:
2θ = 30.65°, I = 100; 2θ = 30.96°, I = 76; 2θ = 54.69°, I = 30; 2θ = 44.13°, I = 29; 2θ = 61.54°, I = 27; 2θ = 40.15°, I = 24; 2θ = 54.50°, I = 20; 2θ = 78.63°, I = 14; 2θ = 25.30°, I = 13; 2θ = 72.63°, I = 13; 2θ = 63.83°, I = 12; 2θ = 21.65°, I = 9



(7)
Simulated X-ray diffraction stick pattern
Compound: BaCaAgF7
Radiation: Cu Ka
Structure: a cell relaxed with GGA-PBE
No peak broadening, texture or thermal motion is included.

Atomic structure:
```
BaCaAgF7
1.0
5.9113 0.0000 0.0000
0.0000 10.6179 0.0000
-0.3364 0.0000 10.1869
Ba Ca Ag F
4 4 4 28
direct
0.2289 0.1679 0.4967 Ba
0.2289 0.3321 0.9967 Ba
0.7711 0.6679 0.0033 Ba
0.7711 0.8321 0.5033 Ba
0.2064 0.5898 0.3187 Ca
0.2064 0.9102 0.8187 Ca
0.7936 0.0898 0.1813 Ca
0.7936 0.4102 0.6813 Ca
0.3094 0.6215 0.6899 Ag
0.3094 0.8785 0.1899 Ag
0.6906 0.1215 0.8101 Ag
0.6906 0.3785 0.3101 Ag
0.0170 0.7140 0.7638 F
0.0170 0.7860 0.2638 F
0.0845 0.5346 0.1230 F
0.0845 0.9654 0.6230 F
0.1511 0.0458 0.1225 F
0.1511 0.4542 0.6225 F
0.2098 0.7102 0.5096 F
0.2098 0.7898 0.0096 F
0.3807 0.0834 0.9012 F
0.3807 0.4166 0.4012 F
0.4380 0.5316 0.8625 F
0.4380 0.9684 0.3625 F
0.4989 0.7178 0.2573 F
0.4989 0.7822 0.7573 F
0.5011 0.2178 0.2427 F
0.5011 0.2822 0.7427 F
0.5620 0.0316 0.6375 F
0.5620 0.4684 0.1375 F
0.6193 0.5834 0.5988 F
0.6193 0.9166 0.0988 F
0.7902 0.2102 0.9904 F
0.7902 0.2898 0.4904 F
0.8489 0.5458 0.3775 F
0.8489 0.9542 0.8775 F
0.9155 0.0346 0.3770 F
0.9155 0.4654 0.8770 F
0.9830 0.2140 0.7362 F
0.9830 0.2860 0.2362 F
```

The 12 most intense peaks (2θ from 10° to 80°), in order of falling intensity:
2θ = 23.99°, I = 100; 2θ = 24.91°, I = 79; 2θ = 24.19°, I = 52; 2θ = 49.92°, I = 50; 2θ = 27.58°, I = 39; 2θ = 36.68°, I = 32; 2θ = 38.33°, I = 32; 2θ = 50.88°, I = 28; 2θ = 30.26°, I = 27; 2θ = 40.71°, I = 23; 2θ = 24.35°, I = 22; 2θ = 18.85°, I = 20